No. 1
Theoretical powder XRD pattern of Nd6Dy5Th2 for a wavelength of 1.5418 Å, from the GGA-PBE geometry in Alexandria.
Kinematic intensities with the Lorentz-polarization factor, no thermal factor.

```
data_Nd6Dy5Th2
_cell_length_a 11.657
_cell_length_b 20.934
_cell_length_c 3.628
_cell_angle_alpha 90.00
_cell_angle_beta 90.00
_cell_angle_gamma 90.00
_space_group_name_H-M_alt 'P b a m'
_space_group_IT_number 55
loop_
_space_group_symop_operation_xyz
'x,y,z'
'-x,-y,-z'
'-x,-y,z'
'x,y,-z'
'x+1/2,-y+1/2,-z'
'-x+1/2,y+1/2,z'
'-x+1/2,y+1/2,-z'
'x+1/2,-y+1/2,z'
loop_
_atom_site_label
_atom_site_type_symbol
_atom_site_fract_x
_atom_site_fract_y
_atom_site_fract_z
_atom_site_occupancy
Nd1 Nd 0.070 0.145 0.000 1
Nd2 Nd 0.082 0.437 0.000 1
Nd3 Nd 0.182 0.876 0.500 1
Dy1 Dy 0.000 0.000 0.500 1
Dy2 Dy 0.069 0.291 0.500 1
Dy3 Dy 0.184 0.581 0.500 1
Th1 Th 0.187 0.732 0.000 1
```

The 6 most intense peaks (5° ≤ 2θ ≤ 70°), most intense first:
| h k l | d (Å) | I (rel.) |
| --- | --- | --- |
| 1 7 0 | 2.893 | 100 |
| 2 3 1 | 2.818 | 96 |
| 4 1 0 | 2.886 | 75 |
| 2 4 1 | 2.656 | 71 |
| 4 1 2 | 1.537 | 41 |
| 0 0 2 | 1.814 | 36 |

=====

No. 2
Theoretical powder XRD pattern of TaAlV6 for a wavelength of 1.5418 Å, from the GGA-PBE geometry in Alexandria.
Kinematic intensities with the Lorentz-polarization factor, no thermal factor.

```
data_TaAlV6
_cell_length_a 4.262
_cell_length_b 6.173
_cell_length_c 8.707
_cell_angle_alpha 90.00
_cell_angle_beta 90.00
_cell_angle_gamma 90.00
_space_group_name_H-M_alt 'A m m 2'
_space_group_IT_number 38
loop_
_space_group_symop_operation_xyz
'x,y,z'
'-x,-y,z'
'-x,y,z'
'x,-y,z'
'x,y+1/2,z+1/2'
'-x,-y+1/2,z+1/2'
'-x,y+1/2,z+1/2'
'x,-y+1/2,z+1/2'
loop_
_atom_site_label
_atom_site_type_symbol
_atom_site_fract_x
_atom_site_fract_y
_atom_site_fract_z
_atom_site_occupancy
Ta1 Ta 0.000 0.000 0.000 1
Al1 Al 0.500 0.000 0.761 1
V1 V 0.000 0.000 0.522 1
V2 V 0.000 0.220 0.263 1
V3 V 0.500 0.000 0.262 1
V4 V 0.500 0.241 0.509 1
```

The 6 most intense peaks (5° ≤ 2θ ≤ 70°), most intense first:
| h k l | d (Å) | I (rel.) |
| --- | --- | --- |
| 1 2 2 | 2.168 | 100 |
| 0 1 1 | 5.036 | 27 |
| 0 0 4 | 2.177 | 25 |
| 2 0 0 | 2.131 | 25 |
| 1 1 1 | 3.253 | 23 |
| 2 0 4 | 1.523 | 15 |

=====

No. 3
Theoretical powder XRD pattern of Rb3FeS3 for a wavelength of 1.5418 Å, from the GGA-PBE geometry in Alexandria.
Kinematic intensities with the Lorentz-polarization factor, no thermal factor.

```
data_Rb3FeS3
_cell_length_a 9.025
_cell_length_b 7.995
_cell_length_c 12.878
_cell_angle_alpha 90.00
_cell_angle_beta 98.27
_cell_angle_gamma 90.00
_space_group_name_H-M_alt 'P 1 21/c 1'
_space_group_IT_number 14
loop_
_space_group_symop_operation_xyz
'x,y,z'
'-x,-y,-z'
'-x,y+1/2,-z+1/2'
'x,-y+1/2,z+1/2'
loop_
_atom_site_label
_atom_site_type_symbol
_atom_site_fract_x
_atom_site_fract_y
_atom_site_fract_z
_atom_site_occupancy
Rb1 Rb 0.080 0.155 0.132 1
Rb2 Rb 0.314 0.718 0.789 1
Rb3 Rb 0.391 0.227 0.922 1
Fe1 Fe 0.165 0.577 0.047 1
S1 S 0.070 0.058 0.388 1
S2 S 0.242 0.659 0.523 1
S3 S 0.348 0.062 0.648 1
```

The 6 most intense peaks (5° ≤ 2θ ≤ 70°), most intense first:
| h k l | d (Å) | I (rel.) |
| --- | --- | --- |
| 0 1 4 | 2.960 | 100 |
| 1 1 -4 | 2.929 | 92 |
| 3 1 0 | 2.790 | 92 |
| 2 2 -2 | 2.804 | 80 |
| 1 1 2 | 4.157 | 74 |
| 1 2 1 | 3.454 | 67 |